Entry 1:
# DyCu4Pd
Theoretical powder X-ray diffraction pattern, Cu Kα (λ = 1.5418 Å). Input: a crystal structure in the Materials Project, relaxed with GGA-PBE.

Structural model:
```
data_DyCu4Pd
_chemical_formula_sum 'Dy4 Cu16 Pd4'
_symmetry_space_group_name_H-M 'F -4 3 m'
_symmetry_Int_Tables_number 216
_symmetry_space_group_name_Hall 'F -4 2 3'
_cell_length_a 7.0778
_cell_length_b 7.0778
_cell_length_c 7.0778
_cell_angle_alpha 90.00
_cell_angle_beta 90.00
_cell_angle_gamma 90.00
loop_
_atom_site_label
_atom_site_fract_x
_atom_site_fract_y
_atom_site_fract_z
_atom_site_occupancy
Dy1 0.0000 0.0000 0.0000 1
Cu1 0.1241 0.1241 0.6241 1
Pd1 0.2500 0.2500 0.2500 1
```

The 6 most intense peaks (10 to 90 degrees two-theta), in order of rising 2θ:
d [Å]	I_rel	hkl
2.502	53	2 2 0
2.134	100	3 1 1
2.043	21	2 2 2
1.445	19	4 2 2
1.362	30	5 1 1
1.251	22	4 4 0

Entry 2:
# CrSbSe3
Theoretical powder X-ray diffraction pattern, Cu Kα (λ = 1.5418 Å). Input: a crystal structure in the Materials Project, relaxed with GGA-PBE.

Structural model:
```
data_CrSbSe3
_chemical_formula_sum 'Cr4 Sb4 Se12'
_symmetry_space_group_name_H-M 'P n m a'
_symmetry_Int_Tables_number 62
_cell_length_a 9.3937
_cell_length_b 3.8465
_cell_length_c 13.4608
_cell_angle_alpha 90.00
_cell_angle_beta 90.00
_cell_angle_gamma 90.00
loop_
_symmetry_equiv_pos_as_xyz
'x,y,z'
'-x,-y,-z'
'-x+1/2,-y,z+1/2'
'x+1/2,y,-z+1/2'
'x+1/2,-y+1/2,-z+1/2'
'-x+1/2,y+1/2,z+1/2'
'-x,y+1/2,-z'
'x,-y+1/2,z'
loop_
_atom_site_label
_atom_site_fract_x
_atom_site_fract_y
_atom_site_fract_z
_atom_site_occupancy
Cr1 0.1569 0.2500 0.0424 1
Sb1 0.0286 0.2500 0.6556 1
Se1 0.0047 0.7500 0.1062 1
Se2 0.1749 0.2500 0.4817 1
Se3 0.2132 0.7500 0.7094 1
```

The 6 most intense peaks (10 to 90 degrees two-theta), in order of rising 2θ:
d [Å]	I_rel	hkl
2.906	100	2 1 1
2.736	50	2 0 4
2.722	24	2 1 2
2.206	29	0 1 5
1.924	32	0 2 0
1.921	22	4 1 2

Entry 3:
# K2CaS2O9
Theoretical powder X-ray diffraction pattern, Cu Kα (λ = 1.5418 Å). Input: a crystal structure in the Materials Project, relaxed with GGA-PBE.

Structural model:
```
data_K2CaS2O9
_chemical_formula_sum 'K4 Ca2 S4 O18'
_symmetry_space_group_name_H-M 'P 1 21 1'
_symmetry_Int_Tables_number 4
_cell_length_a 6.2331
_cell_length_b 7.1699
_cell_length_c 10.0101
_cell_angle_alpha 90.00
_cell_angle_beta 105.24
_cell_angle_gamma 90.00
loop_
_symmetry_equiv_pos_as_xyz
'x,y,z'
'-x,y+1/2,-z'
loop_
_atom_site_label
_atom_site_fract_x
_atom_site_fract_y
_atom_site_fract_z
_atom_site_occupancy
K1 0.1893 0.0000 0.3433 1
K2 0.1905 0.5108 0.3349 1
Ca1 0.3425 0.7545 0.9628 1
S1 0.1524 0.2527 0.0077 1
S2 0.2799 0.7573 0.6417 1
O1 0.0341 0.7587 0.1197 1
O2 0.0547 0.2468 0.1294 1
O3 0.0621 0.7405 0.5361 1
O4 0.2769 0.9265 0.7308 1
O5 0.2973 0.0872 0.0087 1
O6 0.3002 0.4196 0.0209 1
O7 0.3155 0.5932 0.7374 1
O8 0.4599 0.7732 0.5696 1
O9 0.4853 0.7321 0.2213 1
```

The 6 most intense peaks (10 to 90 degrees two-theta), in order of rising 2θ:
d [Å]	I_rel	hkl
5.757	74	0 1 1
3.219	94	0 0 3
2.878	58	0 2 2
2.855	55	2 1 -1
2.826	62	1 2 1
2.772	100	1 2 -2

Entry 4:
# LiSbF6
Theoretical powder X-ray diffraction pattern, Cu Kα (λ = 1.5418 Å). Input: a crystal structure in the Materials Project, relaxed with GGA-PBE.

Structural model:
```
data_LiSbF6
_chemical_formula_sum 'Li3 Sb3 F18'
_symmetry_space_group_name_H-M 'R -3'
_symmetry_Int_Tables_number 148
_symmetry_space_group_name_Hall '-R 3'
_cell_length_a 5.3197
_cell_length_b 5.3197
_cell_length_c 13.8393
_cell_angle_alpha 90.00
_cell_angle_beta 90.00
_cell_angle_gamma 120.00
loop_
_atom_site_label
_atom_site_fract_x
_atom_site_fract_y
_atom_site_fract_z
_atom_site_occupancy
Li1 0.0000 0.0000 0.0000 1
Sb1 0.0000 0.0000 0.5000 1
F1 0.0139 0.4058 0.2467 1
```

The 6 most intense peaks (10 to 90 degrees two-theta), in order of rising 2θ:
d [Å]	I_rel	hkl
4.613	34	0 0 3
4.371	89	1 0 1
3.835	100	0 1 2
2.304	43	2 -1 3
1.917	21	0 2 4
1.743	27	2 -1 6

Entry 5:
# CeSe2
Theoretical powder X-ray diffraction pattern, Cu Kα (λ = 1.5418 Å). Input: a crystal structure in the Materials Project, relaxed with GGA-PBE.

Structural model:
```
data_CeSe2
_chemical_formula_sum 'Ce8 Se16'
_symmetry_space_group_name_H-M 'I 41 2 2'
_symmetry_Int_Tables_number 98
_symmetry_space_group_name_Hall 'I 4bw 2bw'
_cell_length_a 9.4930
_cell_length_b 9.4930
_cell_length_c 18.3640
_cell_angle_alpha 90.00
_cell_angle_beta 90.00
_cell_angle_gamma 90.00
loop_
_atom_site_label
_atom_site_fract_x
_atom_site_fract_y
_atom_site_fract_z
_atom_site_occupancy
Ce1 0.1386 0.7500 0.1250 1
Se1 0.0000 0.0000 0.1096 1
Se2 0.2090 0.7090 0.7500 1
```

The 6 most intense peaks (10 to 90 degrees two-theta), in order of rising 2θ:
d [Å]	I_rel	hkl
8.433	55	1 0 1
6.713	100	1 1 0
5.145	25	1 0 3
3.489	26	2 1 3
2.419	22	3 2 3
2.141	28	3 2 5

Entry 6:
# TiNbN2
Theoretical powder X-ray diffraction pattern, Cu Kα (λ = 1.5418 Å). Input: a crystal structure in the Materials Project, relaxed with GGA-PBE.

Structural model:
```
data_TiNbN2
_chemical_formula_sum 'Ti3 Nb3 N6'
_symmetry_space_group_name_H-M 'R -3 m'
_symmetry_Int_Tables_number 166
_symmetry_space_group_name_Hall '-R 3 2"'
_cell_length_a 3.0645
_cell_length_b 3.0645
_cell_length_c 15.2255
_cell_angle_alpha 90.00
_cell_angle_beta 90.00
_cell_angle_gamma 120.00
loop_
_atom_site_label
_atom_site_fract_x
_atom_site_fract_y
_atom_site_fract_z
_atom_site_occupancy
Ti1 0.0000 0.0000 0.0000 1
Nb1 0.0000 0.0000 0.5000 1
N1 0.0000 0.0000 0.2564 1
```

The 6 most intense peaks (10 to 90 degrees two-theta), in order of rising 2θ:
d [Å]	I_rel	hkl
5.075	21	0 0 3
2.538	25	0 0 6
2.506	73	0 1 2
2.177	100	1 0 4
1.547	30	0 1 8
1.532	30	1 1 0

Entry 7:
# GdAl4Ni
Theoretical powder X-ray diffraction pattern, Cu Kα (λ = 1.5418 Å). Input: a crystal structure in the Materials Project, relaxed with GGA-PBE.

Structural model:
```
data_GdAl4Ni
_chemical_formula_sum 'Gd4 Al16 Ni4'
_symmetry_space_group_name_H-M 'C m c m'
_symmetry_Int_Tables_number 63
_symmetry_space_group_name_Hall '-C 2c 2'
_cell_length_a 4.1104
_cell_length_b 15.5664
_cell_length_c 6.5296
_cell_angle_alpha 90.00
_cell_angle_beta 90.00
_cell_angle_gamma 90.00
loop_
_atom_site_label
_atom_site_fract_x
_atom_site_fract_y
_atom_site_fract_z
_atom_site_occupancy
Gd1 0.0000 0.1152 0.2500 1
Al1 0.0000 0.0764 0.7500 1
Al2 0.0000 0.3103 0.0511 1
Al3 0.0000 0.5000 0.0000 1
Ni1 0.0000 0.2238 0.7500 1
```

The 6 most intense peaks (10 to 90 degrees two-theta), in order of rising 2θ:
d [Å]	I_rel	hkl
5.002	69	0 2 1
3.974	46	1 1 0
2.889	88	1 3 1
2.523	100	1 1 2
2.482	45	1 5 0
2.411	56	0 6 1

Entry 8:
# CdH6C2O6
Theoretical powder X-ray diffraction pattern, Cu Kα (λ = 1.5418 Å). Input: a crystal structure in the Materials Project, relaxed with GGA-PBE.

Structural model:
```
data_CdH6C2O6
_chemical_formula_sum 'Cd4 H24 C8 O24'
_symmetry_space_group_name_H-M 'P 1 21/c 1'
_symmetry_Int_Tables_number 14
_cell_length_a 9.1607
_cell_length_b 7.5319
_cell_length_c 9.8912
_cell_angle_alpha 90.00
_cell_angle_beta 96.49
_cell_angle_gamma 90.00
loop_
_symmetry_equiv_pos_as_xyz
'x,y,z'
'-x,-y,-z'
'-x,y+1/2,-z+1/2'
'x,-y+1/2,z+1/2'
loop_
_atom_site_label
_atom_site_fract_x
_atom_site_fract_y
_atom_site_fract_z
_atom_site_occupancy
Cd1 0.0000 0.0000 0.0000 1
Cd2 0.5000 0.0000 0.5000 1
H1 0.0401 0.1475 0.2835 1
H2 0.1783 0.0193 0.6154 1
H3 0.1987 0.0991 0.2383 1
H4 0.2686 0.6114 0.4593 1
H5 0.2961 0.0949 0.9921 1
H6 0.4461 0.7257 0.7364 1
C1 0.1748 0.6167 0.0725 1
C2 0.4541 0.2063 0.2159 1
O1 0.0619 0.7092 0.0862 1
O2 0.0953 0.1254 0.2041 1
O3 0.2353 0.0111 0.9318 1
O4 0.2846 0.6686 0.0137 1
O5 0.3943 0.0898 0.2845 1
O6 0.4052 0.2499 0.0948 1
```

The 6 most intense peaks (10 to 90 degrees two-theta), in order of rising 2θ:
d [Å]	I_rel	hkl
5.162	100	1 1 -1
4.914	48	0 0 2
4.846	73	1 1 1
4.551	35	2 0 0
2.784	33	3 1 -1
2.769	32	1 1 3